# MnReAs4
Simulated powder diffractogram, λ = 1.5418 Å (Cu Kα). Input: a GGA-PBE-relaxed structure.

The 10 most intense peaks (2θ from 5° to 70°), most intense first:
- 2θ = 39.5°, d = 2.280 Å, rel. 100.0
- 2θ = 33.5°, d = 2.674 Å, rel. 39.8
- 2θ = 64.0°, d = 1.455 Å, rel. 31.8
- 2θ = 41.4°, d = 2.183 Å, rel. 29.0
- 2θ = 59.9°, d = 1.544 Å, rel. 14.8
- 2θ = 20.3°, d = 4.366 Å, rel. 13.1
- 2θ = 23.5°, d = 3.781 Å, rel. 13.0
- 2θ = 54.2°, d = 1.691 Å, rel. 6.2
- 2θ = 52.8°, d = 1.735 Å, rel. 3.3
- 2θ = 48.1°, d = 1.891 Å, rel. 0.6

Structural model:
Unit cell a=7.5624 b=7.5624 c=7.5624 alpha=90.00 beta=90.00 gamma=90.00
Space group F-43m (No. 216)
Unique sites:
Mn 0.0000 0.0000 0.0000 [4 per cell]
Re 0.2500 0.2500 0.2500 [4 per cell]
As 0.1246 0.1246 0.6246 [16 per cell]

---

# SmMnAs2Rh5
Simulated powder diffractogram, λ = 1.5418 Å (Cu Kα). Input: a GGA-PBE-relaxed structure.

The 10 most intense peaks (2θ from 5° to 70°), most intense first:
- 2θ = 46.9°, d = 1.939 Å, rel. 100.0
- 2θ = 32.9°, d = 2.726 Å, rel. 99.1
- 2θ = 45.5°, d = 1.993 Å, rel. 64.4
- 2θ = 25.0°, d = 3.562 Å, rel. 51.7
- 2θ = 52.6°, d = 1.739 Å, rel. 26.5
- 2θ = 66.3°, d = 1.409 Å, rel. 20.4
- 2θ = 36.0°, d = 2.493 Å, rel. 20.2
- 2θ = 22.3°, d = 3.986 Å, rel. 16.0
- 2θ = 40.8°, d = 2.210 Å, rel. 14.2
- 2θ = 33.7°, d = 2.656 Å, rel. 11.9

Structural model:
Unit cell a=3.9863 b=3.9863 c=10.6869 alpha=90.00 beta=90.00 gamma=90.00
Space group P4/mmm (No. 123)
Unique sites:
Sm 0.0000 0.0000 0.0000 [1 per cell]
Mn 0.5000 0.5000 0.5000 [1 per cell]
As 0.5000 0.5000 0.2225 [2 per cell]
Rh 0.0000 0.5000 0.3586 [4 per cell]
Rh 0.5000 0.5000 0.0000 [1 per cell]

---

# Mn3AsS7
Simulated powder diffractogram, λ = 1.5418 Å (Cu Kα). Input: a GGA-PBE-relaxed structure.

The 10 most intense peaks (2θ from 5° to 70°), most intense first:
- 2θ = 16.2°, d = 5.467 Å, rel. 100.0
- 2θ = 34.0°, d = 2.638 Å, rel. 78.0
- 2θ = 34.1°, d = 2.628 Å, rel. 34.0
- 2θ = 53.7°, d = 1.707 Å, rel. 26.5
- 2θ = 45.1°, d = 2.010 Å, rel. 22.2
- 2θ = 44.2°, d = 2.049 Å, rel. 17.4
- 2θ = 43.8°, d = 2.068 Å, rel. 16.7
- 2θ = 58.2°, d = 1.586 Å, rel. 16.2
- 2θ = 29.2°, d = 3.059 Å, rel. 13.5
- 2θ = 50.8°, d = 1.798 Å, rel. 11.8

Structural model:
Unit cell a=10.9510 b=7.1930 c=5.8267 alpha=90.00 beta=93.12 gamma=90.00
Space group Cm (No. 8)
Unique sites:
Mn 0.0000 0.0000 0.0000 [2 per cell]
Mn 0.4920 0.2802 0.4921 [4 per cell]
As 0.0109 0.5000 0.0131 [2 per cell]
S 0.1172 0.0000 0.6803 [2 per cell]
S 0.1226 0.2262 0.1994 [4 per cell]
S 0.3670 0.5000 0.3060 [2 per cell]
S 0.3837 0.2599 0.8235 [4 per cell]
S 0.4047 0.0000 0.3463 [2 per cell]

---

# Mn4SbAs
Simulated powder diffractogram, λ = 1.5418 Å (Cu Kα). Input: a GGA-PBE-relaxed structure.

The 10 most intense peaks (2θ from 5° to 70°), most intense first:
- 2θ = 44.2°, d = 2.050 Å, rel. 100.0
- 2θ = 36.8°, d = 2.445 Å, rel. 57.3
- 2θ = 48.8°, d = 1.865 Å, rel. 54.9
- 2θ = 34.0°, d = 2.637 Å, rel. 35.1
- 2θ = 27.6°, d = 3.237 Å, rel. 33.4
- 2θ = 48.5°, d = 1.877 Å, rel. 29.6
- 2θ = 41.6°, d = 2.172 Å, rel. 18.8
- 2θ = 66.0°, d = 1.415 Å, rel. 17.2
- 2θ = 27.4°, d = 3.258 Å, rel. 13.4
- 2θ = 36.6°, d = 2.454 Å, rel. 11.2

Structural model:
Unit cell a=3.7297 b=3.7297 c=6.5165 alpha=90.00 beta=90.00 gamma=90.00
Space group P4mm (No. 99)
Unique sites:
Mn 0.0000 0.0000 0.0000 [1 per cell]
Mn 0.0000 0.5000 0.3739 [2 per cell]
Mn 0.5000 0.5000 0.6901 [1 per cell]
Sb 0.5000 0.5000 0.0922 [1 per cell]
As 0.0000 0.0000 0.6228 [1 per cell]

---

# Mn4Sb3As
Simulated powder diffractogram, λ = 1.5418 Å (Cu Kα). Input: a GGA-PBE-relaxed structure.

The 10 most intense peaks (2θ from 5° to 70°), most intense first:
- 2θ = 30.3°, d = 2.946 Å, rel. 100.0
- 2θ = 41.4°, d = 2.180 Å, rel. 56.5
- 2θ = 45.4°, d = 1.998 Å, rel. 48.6
- 2θ = 55.6°, d = 1.653 Å, rel. 17.6
- 2θ = 55.9°, d = 1.646 Å, rel. 17.1
- 2θ = 63.1°, d = 1.473 Å, rel. 15.1
- 2θ = 56.5°, d = 1.628 Å, rel. 5.9
- 2θ = 66.7°, d = 1.403 Å, rel. 4.7
- 2θ = 31.9°, d = 2.806 Å, rel. 4.6
- 2θ = 7.9°, d = 11.225 Å, rel. 2.5

Structural model:
Unit cell a=3.9956 b=3.9956 c=11.2252 alpha=90.00 beta=90.00 gamma=120.00
Space group P-6m2 (No. 187)
Unique sites:
Mn 0.0000 0.0000 0.1166 [2 per cell]
Mn 0.0000 0.0000 0.3734 [2 per cell]
Sb 0.3333 0.6667 0.2461 [2 per cell]
Sb 0.6667 0.3333 0.5000 [1 per cell]
As 0.6667 0.3333 0.0000 [1 per cell]

---

# Mn2SbAs
Simulated powder diffractogram, λ = 1.5418 Å (Cu Kα). Input: a GGA-PBE-relaxed structure.

The 10 most intense peaks (2θ from 5° to 70°), most intense first:
- 2θ = 31.2°, d = 2.868 Å, rel. 100.0
- 2θ = 41.9°, d = 2.155 Å, rel. 63.2
- 2θ = 47.3°, d = 1.920 Å, rel. 47.5
- 2θ = 56.0°, d = 1.641 Å, rel. 17.9
- 2θ = 57.8°, d = 1.596 Å, rel. 16.8
- 2θ = 65.1°, d = 1.434 Å, rel. 15.9
- 2θ = 66.0°, d = 1.415 Å, rel. 5.1
- 2θ = 58.0°, d = 1.589 Å, rel. 4.8
- 2θ = 31.6°, d = 2.830 Å, rel. 4.1
- 2θ = 26.8°, d = 3.326 Å, rel. 3.9

Structural model:
Unit cell a=3.8405 b=3.8405 c=5.6606 alpha=90.00 beta=90.00 gamma=120.00
Space group P-6m2 (No. 187)
Unique sites:
Mn 0.0000 0.0000 0.2299 [2 per cell]
Sb 0.3333 0.6667 0.5000 [1 per cell]
As 0.6667 0.3333 0.0000 [1 per cell]

---

# Mn2SiAs
Simulated powder diffractogram, λ = 1.5418 Å (Cu Kα). Input: a GGA-PBE-relaxed structure.

The 10 most intense peaks (2θ from 5° to 70°), most intense first:
- 2θ = 41.8°, d = 2.159 Å, rel. 100.0
- 2θ = 40.6°, d = 2.220 Å, rel. 27.8
- 2θ = 52.0°, d = 1.759 Å, rel. 13.0
- 2θ = 52.7°, d = 1.736 Å, rel. 11.6
- 2θ = 68.0°, d = 1.379 Å, rel. 11.1
- 2θ = 28.4°, d = 3.138 Å, rel. 10.8
- 2θ = 68.6°, d = 1.368 Å, rel. 10.1
- 2θ = 23.8°, d = 3.741 Å, rel. 6.7
- 2θ = 44.1°, d = 2.053 Å, rel. 6.0
- 2θ = 50.3°, d = 1.812 Å, rel. 4.5

Structural model:
Unit cell a=3.5182 b=4.4397 c=6.9441 alpha=90.00 beta=90.00 gamma=90.00
Space group Immm (No. 71)
Unique sites:
Mn 0.0000 0.0000 0.2350 [4 per cell]
Si 0.0000 0.5000 0.5000 [2 per cell]
As 0.0000 0.5000 0.0000 [2 per cell]

---

# Mn5SiAs2
Simulated powder diffractogram, λ = 1.5418 Å (Cu Kα). Input: a GGA-PBE-relaxed structure.

The 10 most intense peaks (2θ from 5° to 70°), most intense first:
- 2θ = 44.5°, d = 2.036 Å, rel. 100.0
- 2θ = 46.8°, d = 1.943 Å, rel. 92.9
- 2θ = 46.1°, d = 1.971 Å, rel. 88.1
- 2θ = 34.1°, d = 2.627 Å, rel. 50.5
- 2θ = 37.0°, d = 2.427 Å, rel. 27.0
- 2θ = 39.4°, d = 2.289 Å, rel. 25.6
- 2θ = 61.3°, d = 1.511 Å, rel. 23.7
- 2θ = 44.8°, d = 2.023 Å, rel. 18.4
- 2θ = 18.1°, d = 4.899 Å, rel. 14.8
- 2θ = 36.5°, d = 2.459 Å, rel. 14.8

Structural model:
Unit cell a=3.0226 b=5.3108 c=12.6835 alpha=90.00 beta=90.00 gamma=90.00
Space group Immm (No. 71)
Unique sites:
Mn 0.0000 0.0000 0.0000 [2 per cell]
Mn 0.0000 0.2409 0.3869 [8 per cell]
Si 0.0000 0.5000 0.0000 [2 per cell]
As 0.0000 0.0000 0.2181 [4 per cell]

---

# Sr3MnAs3
Simulated powder diffractogram, λ = 1.5418 Å (Cu Kα). Input: a GGA-PBE-relaxed structure.

The 10 most intense peaks (2θ from 5° to 70°), most intense first:
- 2θ = 35.5°, d = 2.525 Å, rel. 100.0
- 2θ = 29.6°, d = 3.014 Å, rel. 94.0
- 2θ = 40.3°, d = 2.239 Å, rel. 85.1
- 2θ = 28.6°, d = 3.124 Å, rel. 76.1
- 2θ = 31.1°, d = 2.878 Å, rel. 69.8
- 2θ = 34.5°, d = 2.602 Å, rel. 64.9
- 2θ = 32.9°, d = 2.722 Å, rel. 50.3
- 2θ = 28.4°, d = 3.141 Å, rel. 39.9
- 2θ = 30.8°, d = 2.907 Å, rel. 37.1
- 2θ = 53.0°, d = 1.729 Å, rel. 25.0

Structural model:
Unit cell a=12.7931 b=4.4765 c=13.9305 alpha=90.00 beta=90.00 gamma=90.00
Space group Pnma (No. 62)
Unique sites:
Sr 0.0754 0.2500 0.1050 [4 per cell]
Sr 0.1369 0.7500 0.4919 [4 per cell]
Sr 0.2207 0.7500 0.7862 [4 per cell]
Mn 0.0516 0.2500 0.7045 [4 per cell]
As 0.0323 0.2500 0.3402 [4 per cell]
As 0.0967 0.2500 0.8812 [4 per cell]
As 0.2285 0.2500 0.6234 [4 per cell]

---

# Ta2MnAs
Simulated powder diffractogram, λ = 1.5418 Å (Cu Kα). Input: a GGA-PBE-relaxed structure.

The 10 most intense peaks (2θ from 5° to 70°), most intense first:
- 2θ = 41.7°, d = 2.166 Å, rel. 100.0
- 2θ = 38.1°, d = 2.363 Å, rel. 64.6
- 2θ = 26.6°, d = 3.350 Å, rel. 16.7
- 2θ = 26.7°, d = 3.334 Å, rel. 16.6
- 2θ = 50.2°, d = 1.817 Å, rel. 12.6
- 2θ = 54.8°, d = 1.675 Å, rel. 11.2
- 2θ = 55.1°, d = 1.667 Å, rel. 11.1
- 2θ = 31.5°, d = 2.843 Å, rel. 11.0
- 2θ = 65.7°, d = 1.422 Å, rel. 6.4
- 2θ = 62.0°, d = 1.497 Å, rel. 3.5

Structural model:
Unit cell a=3.3345 b=3.3497 c=5.6863 alpha=90.00 beta=90.00 gamma=90.00
Space group Pmmm (No. 47)
Unique sites:
Ta 0.0000 0.0000 0.2463 [2 per cell]
Mn 0.5000 0.5000 0.0000 [1 per cell]
As 0.5000 0.5000 0.5000 [1 per cell]

---

# Ti2MnAs4
Simulated powder diffractogram, λ = 1.5418 Å (Cu Kα). Input: a GGA-PBE-relaxed structure.

The 10 most intense peaks (2θ from 5° to 70°), most intense first:
- 2θ = 33.2°, d = 2.699 Å, rel. 100.0
- 2θ = 42.9°, d = 2.108 Å, rel. 61.3
- 2θ = 33.0°, d = 2.712 Å, rel. 55.2
- 2θ = 51.4°, d = 1.778 Å, rel. 52.2
- 2θ = 43.2°, d = 2.095 Å, rel. 50.3
- 2θ = 32.7°, d = 2.738 Å, rel. 47.9
- 2θ = 51.9°, d = 1.763 Å, rel. 25.9
- 2θ = 56.6°, d = 1.625 Å, rel. 17.2
- 2θ = 69.7°, d = 1.349 Å, rel. 15.2
- 2θ = 62.7°, d = 1.482 Å, rel. 14.0

Structural model:
Unit cell a=13.0302 b=3.5266 c=6.1759 alpha=90.00 beta=117.55 gamma=90.00
Space group C2/m (No. 12)
Unique sites:
Ti 0.2494 0.0000 0.2541 [4 per cell]
Mn 0.0000 0.5000 0.5000 [2 per cell]
As 0.1105 0.0000 0.7899 [4 per cell]
As 0.1135 0.5000 0.2799 [4 per cell]

---

# MnTl4As
Simulated powder diffractogram, λ = 1.5418 Å (Cu Kα). Input: a GGA-PBE-relaxed structure.

The 10 most intense peaks (2θ from 5° to 70°), most intense first:
- 2θ = 33.5°, d = 2.678 Å, rel. 100.0
- 2θ = 35.0°, d = 2.564 Å, rel. 77.2
- 2θ = 17.3°, d = 5.128 Å, rel. 61.4
- 2θ = 58.8°, d = 1.570 Å, rel. 35.8
- 2θ = 53.6°, d = 1.709 Å, rel. 35.2
- 2θ = 40.6°, d = 2.220 Å, rel. 26.9
- 2θ = 44.5°, d = 2.038 Å, rel. 17.7
- 2θ = 61.8°, d = 1.501 Å, rel. 13.8
- 2θ = 69.4°, d = 1.354 Å, rel. 12.2
- 2θ = 28.4°, d = 3.140 Å, rel. 5.7

Structural model:
Unit cell a=8.8818 b=8.8818 c=8.8818 alpha=90.00 beta=90.00 gamma=90.00
Space group F-43m (No. 216)
Unique sites:
Mn 0.0000 0.0000 0.0000 [4 per cell]
Tl 0.1248 0.1248 0.6248 [16 per cell]
As 0.2500 0.2500 0.2500 [4 per cell]